Record 1
Starting from a crystal structure in Alexandria, relaxed with PBE+U, the powder diffractogram of Li2PuCrO4 was computed for λ = 1.5418 Å (Cu Kα).
No peak broadening, texture or thermal motion is included.

Structure:
Unit cell a=4.5201 b=4.5201 c=8.8731 alpha=90.00 beta=90.00 gamma=90.00
Atoms (fractional coordinates):
Li: 0.0000 0.0000 0.0000
Li: 0.0000 0.5000 0.2500
Li: 0.5000 0.0000 0.7500
Li: 0.5000 0.5000 0.5000
Pu: 0.0000 0.0000 0.5000
Pu: 0.5000 0.5000 0.0000
Cr: 0.0000 0.5000 0.7500
Cr: 0.5000 0.0000 0.2500
O: 0.0000 0.0000 0.2531
O: 0.0000 0.0000 0.7469
O: 0.0000 0.5000 0.5160
O: 0.0000 0.5000 0.9840
O: 0.5000 0.0000 0.0160
O: 0.5000 0.0000 0.4840
O: 0.5000 0.5000 0.2469
O: 0.5000 0.5000 0.7531

The 6 most intense peaks (15° ≤ 2θ ≤ 90°), in order of rising 2θ:
2θ (°)  Rel. int.
20.01  18
22.07  100
34.59  32
36.30  28
39.89  26
46.05  30

Record 2
Starting from a crystal structure in Alexandria, relaxed with PBE+U, the powder diffractogram of Rb2LiCrO4 was computed for λ = 1.5418 Å (Cu Kα).
No peak broadening, texture or thermal motion is included.

Structure:
Unit cell a=11.8458 b=10.5224 c=6.4559 alpha=84.90 beta=62.22 gamma=32.88
Atoms (fractional coordinates):
Rb: 0.0482 0.0482 0.7018
Rb: 0.2982 0.2982 0.9518
Rb: 0.7018 0.7018 0.0482
Rb: 0.9518 0.9518 0.2982
Li: 0.1250 0.1250 0.1250
Li: 0.8750 0.8750 0.8750
Cr: 0.3750 0.3750 0.3750
Cr: 0.6250 0.6250 0.6250
O: 0.0259 0.6360 0.5550
O: 0.2830 0.5550 0.6360
O: 0.3640 0.9741 0.7170
O: 0.4450 0.7170 0.9741
O: 0.5550 0.2830 0.0259
O: 0.6360 0.0259 0.2830
O: 0.7170 0.4450 0.3640
O: 0.9741 0.3640 0.4450

The 6 most intense peaks (15° ≤ 2θ ≤ 90°), in order of rising 2θ:
2θ (°)  Rel. int.
23.52  100
29.93  25
30.18  65
31.77  82
39.66  25
55.42  22

Record 3
Starting from a crystal structure in Alexandria, relaxed with PBE+U, the powder diffractogram of LiCrS2O8 was computed for λ = 1.5418 Å (Cu Kα).
No peak broadening, texture or thermal motion is included.

Structure:
Unit cell a=8.3338 b=8.3347 c=8.9277 alpha=90.09 beta=117.59 gamma=119.93
Atoms (fractional coordinates):
Li: 0.0000 0.0000 0.0000
Li: 0.0824 0.9179 0.6871
Li: 0.3075 0.7534 0.0013
Cr: 0.0664 0.4119 0.1789
Cr: 0.6597 0.2111 0.5620
Cr: 0.6838 0.7178 0.0989
S: 0.1656 0.3217 0.8822
S: 0.1691 0.1095 0.3824
S: 0.5789 0.8176 0.3827
S: 0.5924 0.0235 0.8856
S: 0.8619 0.5986 0.8830
S: 0.8710 0.5225 0.3864
O: 0.0075 0.9244 0.2223
O: 0.0173 0.5417 0.3256
O: 0.0455 0.5813 0.0186
O: 0.0997 0.2454 0.3373
O: 0.1096 0.2790 0.0249
O: 0.1770 0.0674 0.5401
O: 0.2288 0.1946 0.8616
O: 0.3446 0.5343 0.9421
O: 0.3812 0.1923 0.3936
O: 0.3810 0.9282 0.8698
O: 0.3928 0.6137 0.3313
O: 0.5109 0.9498 0.3965
O: 0.5731 0.0504 0.7161
O: 0.6092 0.8444 0.2247
O: 0.6810 0.8978 0.9349
O: 0.6967 0.5463 0.2480
O: 0.7138 0.5697 0.9433
O: 0.7320 0.4494 0.7124
O: 0.7457 0.2142 0.0277
O: 0.7478 0.3190 0.3922
O: 0.7747 0.8622 0.5416
O: 0.9741 0.2910 0.7180
O: 0.9767 0.7954 0.8698
O: 0.9986 0.6645 0.5567

The 6 most intense peaks (15° ≤ 2θ ≤ 90°), in order of rising 2θ:
2θ (°)  Rel. int.
19.94  31
24.38  100
24.45  28
29.32  21
31.98  33
33.06  18

Record 4
Starting from a crystal structure in Alexandria, relaxed with PBE+U, the powder diffractogram of LiTiCrSO8 was computed for λ = 1.5418 Å (Cu Kα).
No peak broadening, texture or thermal motion is included.

Structure:
Unit cell a=8.5844 b=8.6852 c=9.0475 alpha=63.17 beta=63.47 gamma=60.49
Atoms (fractional coordinates):
Li: 0.0000 0.0000 0.0000
Li: 0.2353 0.6269 0.0632
Li: 0.6118 0.9942 0.0950
Ti: 0.1842 0.2009 0.3732
Ti: 0.4780 0.4779 0.5104
Ti: 0.6793 0.6923 0.8706
Cr: 0.0870 0.3815 0.6951
Cr: 0.5769 0.3130 0.1784
Cr: 0.7983 0.0868 0.7012
S: 0.3068 0.8716 0.1900
S: 0.3675 0.8087 0.6840
S: 0.8612 0.5732 0.1902
O: 0.0622 0.4496 0.1916
O: 0.1232 0.1829 0.8410
O: 0.1281 0.3400 0.5005
O: 0.1871 0.8314 0.1468
O: 0.1968 0.8073 0.8302
O: 0.2120 0.0574 0.2153
O: 0.2273 0.4929 0.6485
O: 0.3292 0.9645 0.5266
O: 0.3560 0.7325 0.3499
O: 0.4244 0.2078 0.2116
O: 0.4644 0.6318 0.6421
O: 0.4876 0.8702 0.0460
O: 0.4991 0.8348 0.7300
O: 0.5012 0.3630 0.3729
O: 0.5207 0.5284 0.0257
O: 0.5902 0.2633 0.6600
O: 0.7368 0.5102 0.3623
O: 0.7817 0.8716 0.7548
O: 0.7853 0.1554 0.1584
O: 0.7963 0.0962 0.8796
O: 0.8268 0.5488 0.0552
O: 0.8403 0.7651 0.1497
O: 0.8488 0.5316 0.7475
O: 0.9708 0.1237 0.5135

The 6 most intense peaks (15° ≤ 2θ ≤ 90°), in order of rising 2θ:
2θ (°)  Rel. int.
23.01  43
23.21  37
23.41  100
23.51  70
23.80  72
28.00  31